[1]
Calculated powder diffractogram of CdSi23 for CuKα, from a structure optimized by DFT (PBE).
Peak positions follow from Bragg's law for the DFT cell and can differ from measured ones.

Structure:
Unit cell a=10.253 b=10.253 c=10.253 alpha=90.00 beta=90.00 gamma=90.00
Atoms (fractional coordinates):
Cd: 0.000 0.000 0.000
Cd: 0.500 0.500 0.500
Si: 0.000 0.117 0.308
Si: 0.000 0.117 0.692
Si: 0.000 0.250 0.500
Si: 0.000 0.750 0.500
Si: 0.000 0.883 0.308
Si: 0.000 0.883 0.692
Si: 0.117 0.308 0.000
Si: 0.117 0.692 0.000
Si: 0.184 0.184 0.184
Si: 0.184 0.184 0.816
Si: 0.184 0.816 0.184
Si: 0.184 0.816 0.816
Si: 0.192 0.383 0.500
Si: 0.192 0.617 0.500
Si: 0.250 0.500 0.000
Si: 0.308 0.000 0.117
Si: 0.308 0.000 0.883
Si: 0.316 0.316 0.316
Si: 0.316 0.316 0.684
Si: 0.316 0.684 0.316
Si: 0.316 0.684 0.684
Si: 0.383 0.500 0.192
Si: 0.383 0.500 0.808
Si: 0.500 0.000 0.250
Si: 0.500 0.000 0.750
Si: 0.500 0.192 0.383
Si: 0.500 0.192 0.617
Si: 0.500 0.808 0.383
Si: 0.500 0.808 0.617
Si: 0.617 0.500 0.192
Si: 0.617 0.500 0.808
Si: 0.684 0.316 0.316
Si: 0.684 0.316 0.684
Si: 0.684 0.684 0.316
Si: 0.684 0.684 0.684
Si: 0.692 0.000 0.117
Si: 0.692 0.000 0.883
Si: 0.750 0.500 0.000
Si: 0.808 0.383 0.500
Si: 0.808 0.617 0.500
Si: 0.816 0.184 0.184
Si: 0.816 0.184 0.816
Si: 0.816 0.816 0.184
Si: 0.816 0.816 0.816
Si: 0.883 0.308 0.000
Si: 0.883 0.692 0.000

Main lines, by angle (2θ = 10–90°):
| 2θ (°) | d [Å] | I_rel |
| --- | --- | --- |
| 12.21 | 7.250 | 82.1 |
| 19.36 | 4.585 | 35.1 |
| 24.56 | 3.625 | 9.4 |
| 32.68 | 2.740 | 100.0 |
| 36.12 | 2.487 | 11.9 |
| 37.20 | 2.417 | 25.4 |
| 40.31 | 2.237 | 11.2 |
| 45.09 | 2.011 | 9.8 |
| 52.01 | 1.758 | 10.1 |
| 52.82 | 1.733 | 9.9 |
| 53.63 | 1.709 | 18.8 |
| 55.23 | 1.663 | 41.8 |

***

[2]
Calculated powder diffractogram of SmDy3HoTh for CuKα, from a structure optimized by DFT (PBE).
Peak positions follow from Bragg's law for the DFT cell and can differ from measured ones.

Structure:
Unit cell a=10.661 b=3.570 c=10.671 alpha=90.00 beta=109.25 gamma=90.00
Atoms (fractional coordinates):
Sm: 0.208 0.250 0.375
Sm: 0.792 0.750 0.625
Dy: 0.043 0.250 0.874
Dy: 0.294 0.750 0.121
Dy: 0.458 0.750 0.629
Dy: 0.542 0.250 0.371
Dy: 0.706 0.250 0.879
Dy: 0.957 0.750 0.126
Ho: 0.126 0.750 0.628
Ho: 0.874 0.250 0.372
Th: 0.377 0.250 0.875
Th: 0.623 0.750 0.125

Main lines, by angle (2θ = 10–90°):
| 2θ (°) | d [Å] | I_rel |
| --- | --- | --- |
| 30.71 | 2.911 | 100.0 |
| 30.85 | 2.899 | 32.7 |
| 35.65 | 2.519 | 67.7 |
| 51.21 | 1.784 | 24.2 |
| 51.39 | 1.778 | 23.8 |
| 60.89 | 1.521 | 9.7 |
| 60.98 | 1.519 | 33.4 |
| 61.15 | 1.516 | 14.3 |
| 63.96 | 1.456 | 12.5 |
| 83.50 | 1.158 | 8.1 |
| 86.25 | 1.128 | 11.3 |
| 86.52 | 1.125 | 11.0 |

***

[3]
Calculated powder diffractogram of Sr2InHg4Bi2 for CuKα, from a structure optimized by DFT (PBE).
Peak positions follow from Bragg's law for the DFT cell and can differ from measured ones.

Structure:
Unit cell a=7.530 b=7.530 c=7.530 alpha=123.38 beta=123.38 gamma=84.23
Atoms (fractional coordinates):
Sr: 0.250 0.750 0.500
Sr: 0.750 0.250 0.500
In: 0.000 0.000 0.000
Hg: 0.285 0.285 0.570
Hg: 0.285 0.715 0.000
Hg: 0.715 0.285 0.000
Hg: 0.715 0.715 0.430
Bi: 0.269 0.269 0.000
Bi: 0.731 0.731 0.000

Main lines, by angle (2θ = 10–90°):
| 2θ (°) | d [Å] | I_rel |
| --- | --- | --- |
| 17.56 | 5.050 | 18.6 |
| 29.69 | 3.009 | 100.0 |
| 32.05 | 2.793 | 31.2 |
| 35.55 | 2.525 | 41.5 |
| 37.08 | 2.424 | 14.2 |
| 38.67 | 2.328 | 11.0 |
| 45.21 | 2.006 | 13.0 |
| 48.61 | 1.873 | 32.2 |
| 51.16 | 1.786 | 11.9 |
| 55.67 | 1.651 | 15.0 |
| 60.27 | 1.535 | 17.1 |
| 61.65 | 1.504 | 12.6 |

***

[4]
Calculated powder diffractogram of Nd3Dy5Th2 for CuKα, from a structure optimized by DFT (PBE).
Peak positions follow from Bragg's law for the DFT cell and can differ from measured ones.

Structure:
Unit cell a=10.234 b=10.234 c=8.952 alpha=108.59 beta=108.59 gamma=116.16
Atoms (fractional coordinates):
Nd: 0.021 0.267 0.037
Nd: 0.223 0.777 0.750
Nd: 0.267 0.021 0.537
Nd: 0.733 0.979 0.463
Nd: 0.777 0.223 0.250
Nd: 0.979 0.733 0.963
Dy: 0.031 0.969 0.750
Dy: 0.134 0.365 0.752
Dy: 0.280 0.720 0.250
Dy: 0.365 0.134 0.252
Dy: 0.467 0.533 0.250
Dy: 0.533 0.467 0.750
Dy: 0.635 0.866 0.748
Dy: 0.720 0.280 0.750
Dy: 0.866 0.635 0.248
Dy: 0.969 0.031 0.250
Th: 0.242 0.484 0.476
Th: 0.484 0.242 0.976
Th: 0.516 0.758 0.024
Th: 0.758 0.516 0.524

Main lines, by angle (2θ = 10–90°):
| 2θ (°) | d [Å] | I_rel |
| --- | --- | --- |
| 20.45 | 4.343 | 17.0 |
| 29.18 | 3.060 | 65.9 |
| 31.74 | 2.819 | 100.0 |
| 32.46 | 2.758 | 20.9 |
| 33.11 | 2.705 | 41.5 |
| 33.39 | 2.683 | 15.5 |
| 35.15 | 2.553 | 25.0 |
| 47.05 | 1.931 | 15.1 |
| 49.58 | 1.839 | 14.9 |
| 58.29 | 1.583 | 18.2 |
| 60.92 | 1.521 | 16.3 |
| 61.81 | 1.501 | 22.9 |

***

[5]
Calculated powder diffractogram of YGa3CoNi for CuKα, from a structure optimized by DFT (PBE).
Peak positions follow from Bragg's law for the DFT cell and can differ from measured ones.

Structure:
Unit cell a=6.436 b=6.436 c=5.393 alpha=90.00 beta=90.00 gamma=106.55
Atoms (fractional coordinates):
Y: 0.202 0.798 0.750
Y: 0.798 0.202 0.250
Ga: 0.243 0.243 0.000
Ga: 0.243 0.243 0.500
Ga: 0.310 0.690 0.250
Ga: 0.690 0.310 0.750
Ga: 0.757 0.757 0.000
Ga: 0.757 0.757 0.500
Co: 0.081 0.919 0.250
Co: 0.919 0.081 0.750
Ni: 0.463 0.537 0.750
Ni: 0.537 0.463 0.250

Main lines, by angle (2θ = 10–90°):
| 2θ (°) | d [Å] | I_rel |
| --- | --- | --- |
| 17.19 | 5.159 | 28.9 |
| 23.11 | 3.849 | 25.8 |
| 28.94 | 3.085 | 44.8 |
| 34.78 | 2.579 | 15.5 |
| 37.64 | 2.390 | 22.3 |
| 38.70 | 2.327 | 43.3 |
| 40.86 | 2.208 | 100.0 |
| 45.55 | 1.991 | 54.4 |
| 47.23 | 1.924 | 33.5 |
| 54.71 | 1.678 | 16.3 |
| 62.64 | 1.483 | 19.7 |
| 68.08 | 1.377 | 15.1 |

***

[6]
Calculated powder diffractogram of LiTb3Sc3Te8 for CuKα, from a structure optimized by DFT (PBE).
Peak positions follow from Bragg's law for the DFT cell and can differ from measured ones.

Structure:
Unit cell a=8.509 b=8.509 c=8.509 alpha=59.88 beta=59.88 gamma=59.88
Atoms (fractional coordinates):
Li: 0.000 0.000 0.000
Tb: 0.000 0.000 0.500
Tb: 0.000 0.500 0.000
Tb: 0.500 0.000 0.000
Sc: 0.000 0.500 0.500
Sc: 0.500 0.000 0.500
Sc: 0.500 0.500 0.000
Te: 0.251 0.251 0.739
Te: 0.251 0.739 0.251
Te: 0.255 0.255 0.255
Te: 0.261 0.749 0.749
Te: 0.739 0.251 0.251
Te: 0.745 0.745 0.745
Te: 0.749 0.261 0.749
Te: 0.749 0.749 0.261

Main lines, by angle (2θ = 10–90°):
| 2θ (°) | d [Å] | I_rel |
| --- | --- | --- |
| 12.74 | 6.949 | 8.1 |
| 14.74 | 6.011 | 8.3 |
| 24.57 | 3.623 | 10.8 |
| 25.67 | 3.471 | 10.6 |
| 29.72 | 3.006 | 100.0 |
| 32.45 | 2.759 | 8.6 |
| 42.54 | 2.125 | 74.0 |
| 52.78 | 1.734 | 19.6 |
| 61.72 | 1.503 | 11.9 |
| 69.93 | 1.345 | 15.9 |
| 70.05 | 1.343 | 16.4 |
| 77.89 | 1.226 | 18.0 |

***

[7]
Calculated powder diffractogram of Tm5Ag2Pb for CuKα, from a structure optimized by DFT (PBE).
Peak positions follow from Bragg's law for the DFT cell and can differ from measured ones.

Structure:
Unit cell a=8.700 b=8.700 c=8.700 alpha=125.47 beta=125.47 gamma=80.76
Atoms (fractional coordinates):
Tm: 0.000 0.000 0.000
Tm: 0.006 0.506 0.808
Tm: 0.198 0.006 0.500
Tm: 0.302 0.802 0.808
Tm: 0.494 0.302 0.500
Tm: 0.500 0.500 0.000
Tm: 0.506 0.698 0.500
Tm: 0.698 0.198 0.192
Tm: 0.802 0.994 0.500
Tm: 0.994 0.494 0.192
Ag: 0.135 0.365 0.500
Ag: 0.365 0.865 0.230
Ag: 0.635 0.135 0.770
Ag: 0.865 0.635 0.500
Pb: 0.250 0.250 0.000
Pb: 0.750 0.750 0.000

Main lines, by angle (2θ = 10–90°):
| 2θ (°) | d [Å] | I_rel |
| --- | --- | --- |
| 25.88 | 3.442 | 8.0 |
| 31.32 | 2.856 | 26.1 |
| 31.75 | 2.818 | 13.0 |
| 32.27 | 2.774 | 100.0 |
| 35.22 | 2.548 | 27.7 |
| 35.62 | 2.521 | 67.6 |
| 51.26 | 1.782 | 10.8 |
| 51.61 | 1.771 | 9.5 |
| 53.67 | 1.708 | 9.5 |
| 56.29 | 1.634 | 14.0 |
| 66.64 | 1.403 | 17.5 |
| 67.68 | 1.384 | 11.6 |

***

[8]
Calculated powder diffractogram of CrInFe2 for CuKα, from a structure optimized by DFT (PBE).
Peak positions follow from Bragg's law for the DFT cell and can differ from measured ones.

Structure:
Unit cell a=8.448 b=8.448 c=8.448 alpha=19.53 beta=19.53 gamma=19.53
Atoms (fractional coordinates):
Cr: 0.000 0.000 0.000
In: 0.238 0.238 0.238
Fe: 0.480 0.480 0.480
Fe: 0.740 0.740 0.740

Main lines, by angle (2θ = 10–90°):
| 2θ (°) | d [Å] | I_rel |
| --- | --- | --- |
| 10.68 | 8.284 | 10.7 |
| 21.45 | 4.142 | 9.5 |
| 32.42 | 2.761 | 9.8 |
| 39.09 | 2.305 | 100.0 |
| 40.63 | 2.220 | 9.6 |
| 43.71 | 2.071 | 19.4 |
| 46.86 | 1.939 | 53.4 |
| 65.10 | 1.433 | 20.6 |
| 71.68 | 1.317 | 10.1 |
| 78.63 | 1.217 | 11.3 |
| 81.73 | 1.178 | 16.7 |
| 83.98 | 1.152 | 8.8 |

***

[9]
Calculated powder diffractogram of Pd2Pt5Rh2 for CuKα, from a structure optimized by DFT (PBE).
Peak positions follow from Bragg's law for the DFT cell and can differ from measured ones.

Structure:
Unit cell a=6.673 b=6.673 c=7.835 alpha=120.87 beta=120.87 gamma=32.23
Atoms (fractional coordinates):
Pd: 0.070 0.070 0.214
Pd: 0.930 0.930 0.786
Pt: 0.000 0.000 0.500
Pt: 0.195 0.195 0.051
Pt: 0.323 0.323 0.470
Pt: 0.677 0.677 0.530
Pt: 0.805 0.805 0.949
Rh: 0.431 0.431 0.224
Rh: 0.569 0.569 0.776

Main lines, by angle (2θ = 10–90°):
| 2θ (°) | d [Å] | I_rel |
| --- | --- | --- |
| 26.64 | 3.347 | 48.1 |
| 26.92 | 3.312 | 22.1 |
| 31.97 | 2.799 | 39.7 |
| 34.91 | 2.570 | 13.3 |
| 38.70 | 2.327 | 26.2 |
| 42.08 | 2.147 | 94.0 |
| 42.30 | 2.137 | 52.5 |
| 42.47 | 2.129 | 100.0 |
| 43.80 | 2.067 | 30.4 |
| 49.19 | 1.852 | 40.1 |
| 66.84 | 1.400 | 27.2 |
| 77.73 | 1.229 | 14.1 |

***

[10]
Calculated powder diffractogram of RbNbP2O8 for CuKα, from a structure optimized by DFT (PBE).
Peak positions follow from Bragg's law for the DFT cell and can differ from measured ones.

Structure:
Unit cell a=9.258 b=9.258 c=9.258 alpha=33.14 beta=33.14 gamma=33.14
Atoms (fractional coordinates):
Rb: 0.000 0.000 0.000
Nb: 0.500 0.500 0.500
P: 0.234 0.234 0.234
P: 0.766 0.766 0.766
O: 0.104 0.632 0.632
O: 0.291 0.291 0.291
O: 0.368 0.368 0.896
O: 0.368 0.896 0.368
O: 0.632 0.104 0.632
O: 0.632 0.632 0.104
O: 0.709 0.709 0.709
O: 0.896 0.368 0.368

Main lines, by angle (2θ = 10–90°):
| 2θ (°) | d [Å] | I_rel |
| --- | --- | --- |
| 10.12 | 8.742 | 16.7 |
| 20.32 | 4.371 | 7.5 |
| 20.57 | 4.318 | 9.4 |
| 23.72 | 3.751 | 100.0 |
| 33.64 | 2.664 | 14.2 |
| 33.96 | 2.640 | 26.6 |
| 39.61 | 2.275 | 10.1 |
| 39.89 | 2.260 | 10.2 |
| 41.84 | 2.159 | 6.3 |
| 48.55 | 1.875 | 13.9 |
| 54.51 | 1.683 | 9.1 |
| 54.94 | 1.671 | 16.7 |

***

[11]
Calculated powder diffractogram of TbSm3N3 for CuKα, from a structure optimized by DFT (PBE).
Peak positions follow from Bragg's law for the DFT cell and can differ from measured ones.

Structure:
Unit cell a=6.550 b=6.550 c=7.919 alpha=97.94 beta=97.94 gamma=111.53
Atoms (fractional coordinates):
Tb: 0.191 0.191 0.203
Tb: 0.809 0.809 0.797
Sm: 0.182 0.182 0.639
Sm: 0.294 0.706 0.500
Sm: 0.338 0.662 0.000
Sm: 0.662 0.338 0.000
Sm: 0.706 0.294 0.500
Sm: 0.818 0.818 0.361
N: 0.030 0.299 0.406
N: 0.299 0.030 0.406
N: 0.495 0.495 0.797
N: 0.505 0.505 0.203
N: 0.701 0.970 0.594
N: 0.970 0.701 0.594

Main lines, by angle (2θ = 10–90°):
| 2θ (°) | d [Å] | I_rel |
| --- | --- | --- |
| 27.69 | 3.222 | 98.1 |
| 28.50 | 3.131 | 99.2 |
| 29.69 | 3.009 | 98.0 |
| 29.97 | 2.982 | 100.0 |
| 30.16 | 2.963 | 83.3 |
| 34.30 | 2.614 | 87.5 |
| 38.72 | 2.326 | 61.5 |
| 51.59 | 1.772 | 38.9 |
| 53.75 | 1.705 | 24.9 |
| 56.31 | 1.634 | 27.1 |
| 57.52 | 1.602 | 24.7 |
| 59.74 | 1.548 | 32.9 |

***

[12]
Calculated powder diffractogram of AcBeReO6 for CuKα, from a structure optimized by DFT (PBE).
Peak positions follow from Bragg's law for the DFT cell and can differ from measured ones.

Structure:
Unit cell a=5.302 b=5.302 c=5.042 alpha=90.00 beta=90.00 gamma=120.00
Atoms (fractional coordinates):
Ac: 0.000 0.000 0.000
Be: 0.667 0.333 0.807
Re: 0.333 0.667 0.572
O: 0.088 0.748 0.402
O: 0.252 0.340 0.402
O: 0.456 0.002 0.839
O: 0.546 0.544 0.839
O: 0.660 0.912 0.402
O: 0.998 0.454 0.839

Main lines, by angle (2θ = 10–90°):
| 2θ (°) | d [Å] | I_rel |
| --- | --- | --- |
| 19.33 | 4.592 | 36.2 |
| 26.25 | 3.395 | 100.0 |
| 33.81 | 2.651 | 31.7 |
| 40.84 | 2.210 | 16.3 |
| 43.30 | 2.089 | 31.6 |
| 49.92 | 1.827 | 21.8 |
| 56.04 | 1.641 | 25.6 |
| 58.48 | 1.578 | 9.6 |
| 60.49 | 1.531 | 7.7 |
| 65.27 | 1.430 | 8.5 |
| 77.27 | 1.235 | 10.2 |
| 79.37 | 1.207 | 8.1 |